For Na3SrBi2, a GGA-PBE-relaxed structure gives the calculated X-ray powder pattern in this record (Cu Kα (weighted mean of Kα1 and Kα2)).
Intensities are scaled so that the largest is 1000.

Principal peaks in the range 2θ = 10–90°, in order of rising 2θ:
- hkl 2 0 1, 4.888 Å, I = 572
- hkl 1 1 -1, 4.493 Å, I = 780
- hkl 4 0 0, 4.133 Å, I = 756
- hkl 3 1 0, 3.723 Å, I = 1000
- hkl 3 1 1, 3.068 Å, I = 709
- hkl 5 1 -1, 3.010 Å, I = 977
- hkl 1 1 -3, 2.629 Å, I = 642
- hkl 5 1 -3, 2.577 Å, I = 816
- hkl 0 2 0, 2.528 Å, I = 587
- hkl 2 0 -4, 2.372 Å, I = 607

Atomic structure:
```
data_Na3SrBi2
_chemical_formula_sum 'Na12 Sr4 Bi8'
_cell_length_a 18.8710
_cell_length_b 5.0564
_cell_length_c 9.8019
_cell_angle_alpha 90.00
_cell_angle_beta 118.97
_cell_angle_gamma 90.00
_space_group_name_H-M_alt 'C 1 2/m 1'
_space_group_IT_number 12
loop_
_space_group_symop_operation_xyz
'x,y,z'
'-x,-y,-z'
'-x,y,-z'
'x,-y,z'
'x+1/2,y+1/2,z'
'-x+1/2,-y+1/2,-z'
'-x+1/2,y+1/2,-z'
'x+1/2,-y+1/2,z'
loop_
_atom_site_label
_atom_site_type_symbol
_atom_site_fract_x
_atom_site_fract_y
_atom_site_fract_z
Na1 Na 0.0397 0.0000 0.1920
Na2 Na 0.1680 0.5000 0.9813
Na3 Na 0.1845 0.5000 0.3898
Sr1 Sr 0.1265 0.0000 0.6458
Bi1 Bi 0.0037 0.5000 0.3469
Bi2 Bi 0.2172 0.0000 0.2133
```